Record 1
For Zr4Sc2Ni3C3, a PBE-relaxed structure gives the calculated PXRD pattern in this record (Cu Kα, 1.54184 Å).
No peak broadening, texture or thermal motion is included.

Top 10 peaks for 2θ from 10° to 80°, low angle first:
2θ/deg	Rel. int.
18.13	26.0
18.53	21.5
31.41	16.8
32.13	32.4
37.31	49.6
37.51	100.0
40.36	33.9
55.92	19.7
57.81	12.1
66.01	13.2

Cell and atoms:
Cell: 5.6978 5.6978 13.8327 Å, 102.29 102.29 59.94°
Element x y z (fractional)
Zr 0.0264 0.2028 0.0931
Zr 0.1389 0.3024 0.4069
Zr 0.2028 0.0264 0.5931
Zr 0.3024 0.1389 0.9069
Zr 0.6976 0.8611 0.0931
Zr 0.7972 0.9736 0.4069
Zr 0.8611 0.6976 0.5931
Zr 0.9736 0.7972 0.9069
Sc 0.3733 0.5364 0.1056
Sc 0.4636 0.6267 0.3944
Sc 0.5364 0.3733 0.6056
Sc 0.6267 0.4636 0.8944
Ni 0.0860 0.9140 0.7500
Ni 0.0866 0.4151 0.7498
Ni 0.4151 0.0866 0.2498
Ni 0.5849 0.9134 0.7502
Ni 0.9134 0.5849 0.2502
Ni 0.9140 0.0860 0.2500
C 0.0000 0.5000 0.0000
C 0.1676 0.6662 0.5000
C 0.3338 0.8324 0.0000
C 0.5000 0.0000 0.5000
C 0.6662 0.1676 0.0000
C 0.8324 0.3338 0.5000


Record 2
For TmNiSnC, a PBE-relaxed structure gives the calculated PXRD pattern in this record (Cu Kα, 1.54184 Å).
No peak broadening, texture or thermal motion is included.

Top 10 peaks for 2θ from 10° to 80°, low angle first:
2θ/deg	Rel. int.
26.29	32.9
33.42	100.0
41.27	73.8
42.99	23.4
54.09	40.0
61.10	11.0
66.40	9.2
70.24	30.6
75.24	12.5
76.40	17.6

Cell and atoms:
Cell: 4.3751 4.3751 7.5893 Å, 90.00 90.00 120.00°
Element x y z (fractional)
Tm 0.3333 0.6667 0.2986
Tm 0.6667 0.3333 0.7014
Ni 0.3333 0.6667 0.8934
Ni 0.6667 0.3333 0.1066
Sn 0.0000 0.0000 0.0000
Sn 0.0000 0.0000 0.5000
C 0.3333 0.6667 0.6434
C 0.6667 0.3333 0.3566